No. 1
The following is a simulated PXRD pattern of NaGa4Ag8. It was derived from a crystal structure in Alexandria, relaxed with GGA-PBE, using CuKα.
No peak broadening, texture or thermal motion is included.

Largest 10 diffraction maxima, in order of falling intensity, 10° ≤ 2θ ≤ 80°:
d = 2.352 Å, I = 100
d = 2.084 Å, I = 95
d = 2.106 Å, I = 65
d = 2.363 Å, I = 56
d = 2.113 Å, I = 47
d = 2.322 Å, I = 45
d = 2.712 Å, I = 41
d = 2.666 Å, I = 28
d = 6.683 Å, I = 27
d = 4.644 Å, I = 27

Atomic structure:
```
NaGa4Ag8
1.0
-4.726 4.726 2.666
4.726 -4.726 2.666
4.726 4.726 -2.666
Na Ga Ag
1 4 8
direct
0.000 0.000 0.000 Na
0.000 0.000 0.500 Ga
0.000 0.500 0.000 Ga
0.500 0.000 0.000 Ga
0.500 0.500 0.500 Ga
0.000 0.348 0.348 Ag
0.000 0.652 0.652 Ag
0.283 0.500 0.783 Ag
0.348 0.000 0.348 Ag
0.500 0.283 0.783 Ag
0.500 0.717 0.217 Ag
0.652 0.000 0.652 Ag
0.717 0.500 0.217 Ag
```

---

No. 2
The following is a simulated PXRD pattern of NaGa2Ag5. It was derived from a crystal structure in Alexandria, relaxed with GGA-PBE, using CuKα.
No peak broadening, texture or thermal motion is included.

Largest 10 diffraction maxima, in order of falling intensity, 10° ≤ 2θ ≤ 80°:
d = 2.366 Å, I = 100
d = 2.406 Å, I = 77
d = 2.309 Å, I = 45
d = 6.987 Å, I = 40
d = 2.243 Å, I = 40
d = 1.609 Å, I = 24
d = 1.251 Å, I = 24
d = 2.100 Å, I = 19
d = 1.975 Å, I = 18
d = 1.393 Å, I = 17

Atomic structure:
```
NaGa2Ag5
1.0
-1.475 4.486 5.569
1.475 -4.486 5.569
1.475 4.486 -5.569
Na Ga Ag
1 2 5
direct
0.000 0.000 0.000 Na
0.250 0.750 0.500 Ga
0.750 0.250 0.500 Ga
0.134 0.367 0.767 Ag
0.399 0.633 0.767 Ag
0.500 0.000 0.500 Ag
0.601 0.367 0.233 Ag
0.866 0.633 0.233 Ag
```

---

Copy entry 2 word for word.
The following is a simulated PXRD pattern of NaGa2Ag5. It was derived from a crystal structure in Alexandria, relaxed with GGA-PBE, using CuKα.
No peak broadening, texture or thermal motion is included.

Largest 10 diffraction maxima, in order of falling intensity, 10° ≤ 2θ ≤ 80°:
d = 2.366 Å, I = 100
d = 2.406 Å, I = 77
d = 2.309 Å, I = 45
d = 6.987 Å, I = 40
d = 2.243 Å, I = 40
d = 1.609 Å, I = 24
d = 1.251 Å, I = 24
d = 2.100 Å, I = 19
d = 1.975 Å, I = 18
d = 1.393 Å, I = 17

Atomic structure:
```
NaGa2Ag5
1.0
-1.475 4.486 5.569
1.475 -4.486 5.569
1.475 4.486 -5.569
Na Ga Ag
1 2 5
direct
0.000 0.000 0.000 Na
0.250 0.750 0.500 Ga
0.750 0.250 0.500 Ga
0.134 0.367 0.767 Ag
0.399 0.633 0.767 Ag
0.500 0.000 0.500 Ag
0.601 0.367 0.233 Ag
0.866 0.633 0.233 Ag
```

---

What is the formula in the first record?
NaGa4Ag8